Diffraction record for Mn2ZnO4. The powder diffractogram is computed, not measured: it uses the PBE+U geometry in Alexandria and a wavelength of 1.5418 Å.

Peak list (10 most intense, 2θ from 10° to 80°, low angle first)
2θ = 17.8°, intensity 9.6; 2θ = 29.3°, intensity 26.9; 2θ = 29.5°, intensity 16.4; 2θ = 34.6°, intensity 100.0; 2θ = 34.7°, intensity 36.9; 2θ = 36.2°, intensity 10.9; 2θ = 42.1°, intensity 24.9; 2θ = 55.5°, intensity 41.4; 2θ = 60.8°, intensity 31.2; 2θ = 61.1°, intensity 28.9

Structural model:
```
data_Mn2ZnO4
_cell_length_a 6.064
_cell_length_b 6.064
_cell_length_c 6.064
_cell_angle_alpha 60.29
_cell_angle_beta 60.29
_cell_angle_gamma 60.29
_symmetry_space_group_name_H-M 'P 1'
_symmetry_Int_Tables_number 1
loop_
_symmetry_equiv_pos_as_xyz
'x,y,z'
loop_
_atom_site_label
_atom_site_fract_x
_atom_site_fract_y
_atom_site_fract_z
_atom_site_occupancy
Mn1 0.000 0.000 0.000 1
Mn2 0.119 0.619 0.619 1
Mn3 0.619 0.119 0.619 1
Mn4 0.619 0.619 0.119 1
Zn1 0.238 0.238 0.238 1
Zn2 0.618 0.618 0.618 1
O1 0.372 0.372 0.372 1
O2 0.372 0.372 0.829 1
O3 0.372 0.829 0.372 1
O4 0.414 0.864 0.864 1
O5 0.829 0.372 0.372 1
O6 0.864 0.414 0.864 1
O7 0.864 0.864 0.414 1
O8 0.864 0.864 0.864 1
```